# TiO2
Simulated X-ray diffraction stick pattern, Cu Ka. Input: a crystal structure in the Materials Project, relaxed with GGA-PBE.
Neutral-atom scattering factors, no anomalous dispersion.

Most intense lines, 5 to 70 degrees two-theta, low angle first:
2θ = 16.61°, I = 100.0
2θ = 33.58°, I = 2.4
2θ = 34.60°, I = 10.8
2θ = 35.64°, I = 5.2
2θ = 38.61°, I = 27.0
2θ = 43.17°, I = 8.8
2θ = 48.98°, I = 24.9
2θ = 62.00°, I = 10.2
2θ = 63.40°, I = 11.2
2θ = 64.68°, I = 10.7

Cell and atoms:
a b c (Å): 5.9879 10.6758 5.1845
angles (deg): 90.00 90.00 90.00
Positions (direct):
Ti: 0.0000 0.0000 0.0000
Ti: 0.0000 0.5000 0.0000
Ti: 0.2500 0.0128 0.4932
Ti: 0.2500 0.4872 0.4932
Ti: 0.5000 0.0000 0.0000
Ti: 0.5000 0.5000 0.0000
Ti: 0.7500 0.5128 0.5068
Ti: 0.7500 0.9872 0.5068
O: 0.9997 0.0914 0.3331
O: 0.9997 0.4086 0.3331
O: 0.0003 0.5914 0.6669
O: 0.0003 0.9086 0.6669
O: 0.2500 0.0924 0.8328
O: 0.2500 0.4076 0.8328
O: 0.2500 0.5889 0.1665
O: 0.2500 0.9111 0.1665
O: 0.5003 0.0914 0.3331
O: 0.5003 0.4086 0.3331
O: 0.4997 0.5914 0.6669
O: 0.4997 0.9086 0.6669
O: 0.7500 0.0889 0.8335
O: 0.7500 0.4111 0.8335
O: 0.7500 0.5924 0.1672
O: 0.7500 0.9076 0.1672